Diffraction record for Li4MnFe3P4O16. The powder XRD pattern is theoretical, not measured: it uses a GGA+U-relaxed structure and Cu Kα (λ = 1.5418 Å).

Structure:
Cell: 7.743 7.743 10.486 Å, 90.07 90.09 104.08°
Fractional coordinates of all 56 atoms:
Li 0.000 0.000 0.000
Li 0.000 0.500 0.500
Li 0.249 0.249 0.501
Li 0.249 0.752 0.001
Li 0.500 0.000 0.500
Li 0.500 0.500 0.000
Li 0.751 0.248 0.999
Li 0.751 0.751 0.499
Mn 0.137 0.387 0.218
Mn 0.863 0.613 0.782
Fe 0.139 0.890 0.282
Fe 0.362 0.612 0.719
Fe 0.365 0.114 0.781
Fe 0.635 0.886 0.219
Fe 0.638 0.388 0.281
Fe 0.861 0.110 0.718
P 0.084 0.330 0.905
P 0.086 0.835 0.593
P 0.418 0.667 0.407
P 0.420 0.166 0.094
P 0.580 0.834 0.906
P 0.582 0.333 0.593
P 0.914 0.165 0.407
P 0.916 0.670 0.095
O 0.022 0.269 0.042
O 0.023 0.772 0.456
O 0.082 0.130 0.337
O 0.085 0.638 0.166
O 0.121 0.668 0.663
O 0.122 0.163 0.835
O 0.243 0.494 0.903
O 0.247 0.997 0.596
O 0.256 0.007 0.097
O 0.256 0.506 0.404
O 0.383 0.835 0.335
O 0.389 0.336 0.164
O 0.413 0.871 0.837
O 0.415 0.367 0.665
O 0.480 0.227 0.956
O 0.480 0.730 0.544
O 0.520 0.270 0.456
O 0.520 0.773 0.044
O 0.585 0.633 0.335
O 0.587 0.129 0.163
O 0.611 0.664 0.836
O 0.617 0.165 0.665
O 0.744 0.494 0.596
O 0.744 0.993 0.903
O 0.753 0.003 0.404
O 0.757 0.506 0.097
O 0.878 0.837 0.165
O 0.879 0.332 0.337
O 0.915 0.362 0.834
O 0.918 0.870 0.663
O 0.977 0.228 0.544
O 0.978 0.731 0.958

Top 12 peaks for 10 to 90 degrees two-theta, by angle:
16.91°, 5.243 Å, I 30, hkl 0 0 2; 20.48°, 4.336 Å, I 59, hkl 1 1 1; 22.35°, 3.977 Å, I 18, hkl 1 -1 2; 25.19°, 3.535 Å, I 83, hkl 2 0 -1; 29.26°, 3.052 Å, I 76, hkl 2 -2 0; 31.76°, 2.818 Å, I 28, hkl 1 1 3; 35.07°, 2.558 Å, I 100, hkl 2 0 -3; 37.33°, 2.409 Å, I 21, hkl 1 -1 4; 51.72°, 1.768 Å, I 36, hkl 4 0 -2; 54.63°, 1.680 Å, I 19, hkl 1 -1 6; 55.73°, 1.649 Å, I 18, hkl 2 -4 3; 60.68°, 1.526 Å, I 18, hkl 4 -4 0